No. 1
Diffraction record for SmAgAs2. The powder XRD pattern is simulated, not measured: it uses DFT lattice parameters and positions (PBE) and Cu Kα (weighted mean of Kα1 and Kα2).
No peak broadening, texture or thermal motion is included.

Cell and atoms:
a b c (Å): 21.229 4.017 4.039
angles (deg): 90.00 90.00 90.00
Space group Pnma (No. 62)
One atom of each set of equivalent atoms:
Sm (0.115, 0.250, 0.238) (multiplicity 4)
Ag (0.250, 0.250, 0.738) (multiplicity 4)
As (0.001, 0.250, 0.720) (multiplicity 4)
As (0.159, 0.750, 0.738) (multiplicity 4)

Most intense lines, 10° ≤ 2θ ≤ 80°, by angle:
| hkl | 2theta | d (Å) | Rel. int. |
| --- | --- | --- | --- |
| 4 1 0 | 27.81 | 3.208 | 12 |
| 6 0 1 | 33.71 | 2.658 | 11 |
| 8 0 0 | 33.78 | 2.654 | 19 |
| 4 1 1 | 35.78 | 2.510 | 100 |
| 8 0 1 | 40.71 | 2.216 | 12 |
| 0 0 2 | 44.88 | 2.020 | 15 |
| 0 2 0 | 45.14 | 2.009 | 15 |
| 8 0 2 | 57.33 | 1.607 | 10 |
| 8 2 0 | 57.53 | 1.602 | 11 |
| 4 3 1 | 77.17 | 1.236 | 10 |

***

No. 2
Diffraction record for Ba3RuF6. The powder XRD pattern is simulated, not measured: it uses DFT lattice parameters and positions (PBE) and Cu Kα (weighted mean of Kα1 and Kα2).
No peak broadening, texture or thermal motion is included.

Cell and atoms:
a b c (Å): 6.347 6.355 6.867
angles (deg): 76.95 76.53 89.11
Space group P-1 (No. 2)
One atom of each set of equivalent atoms:
Ba (0.000, 0.000, 0.000) (multiplicity 1)
Ba (0.000, 0.500, 0.500) (multiplicity 1)
Ba (0.500, 0.000, 0.500) (multiplicity 1)
Ru (0.000, 0.000, 0.500) (multiplicity 1)
F (0.134, 0.767, 0.722) (multiplicity 2)
F (0.233, 0.865, 0.276) (multiplicity 2)
F (0.276, 0.278, 0.716) (multiplicity 2)

Most intense lines, 10° ≤ 2θ ≤ 80°, by angle:
| hkl | 2theta | d (Å) | Rel. int. |
| --- | --- | --- | --- |
| 0 0 1 | 13.62 | 6.501 | 55 |
| 1 0 0 | 14.34 | 6.177 | 100 |
| 1 -1 1 | 24.15 | 3.685 | 18 |
| -1 1 1 | 24.28 | 3.666 | 18 |
| 0 0 2 | 27.44 | 3.251 | 23 |
| 2 0 0 | 28.91 | 3.088 | 47 |
| 2 0 2 | 35.07 | 2.559 | 31 |
| 0 2 2 | 35.19 | 2.551 | 26 |
| 0 2 -2 | 44.85 | 2.021 | 19 |
| 2 0 -2 | 45.01 | 2.014 | 23 |

***

Copy entry 2 word for word.
Diffraction record for Ba3RuF6. The powder XRD pattern is simulated, not measured: it uses DFT lattice parameters and positions (PBE) and Cu Kα (weighted mean of Kα1 and Kα2).
No peak broadening, texture or thermal motion is included.

Cell and atoms:
a b c (Å): 6.347 6.355 6.867
angles (deg): 76.95 76.53 89.11
Space group P-1 (No. 2)
One atom of each set of equivalent atoms:
Ba (0.000, 0.000, 0.000) (multiplicity 1)
Ba (0.000, 0.500, 0.500) (multiplicity 1)
Ba (0.500, 0.000, 0.500) (multiplicity 1)
Ru (0.000, 0.000, 0.500) (multiplicity 1)
F (0.134, 0.767, 0.722) (multiplicity 2)
F (0.233, 0.865, 0.276) (multiplicity 2)
F (0.276, 0.278, 0.716) (multiplicity 2)

Most intense lines, 10° ≤ 2θ ≤ 80°, by angle:
| hkl | 2theta | d (Å) | Rel. int. |
| --- | --- | --- | --- |
| 0 0 1 | 13.62 | 6.501 | 55 |
| 1 0 0 | 14.34 | 6.177 | 100 |
| 1 -1 1 | 24.15 | 3.685 | 18 |
| -1 1 1 | 24.28 | 3.666 | 18 |
| 0 0 2 | 27.44 | 3.251 | 23 |
| 2 0 0 | 28.91 | 3.088 | 47 |
| 2 0 2 | 35.07 | 2.559 | 31 |
| 0 2 2 | 35.19 | 2.551 | 26 |
| 0 2 -2 | 44.85 | 2.021 | 19 |
| 2 0 -2 | 45.01 | 2.014 | 23 |